Record 1
This entry pairs a crystal structure of Y3Ho2Tm6 with its theoretical powder diffractogram. Radiation: Cu Ka. Structure: a structure optimized by DFT (GGA-PBE).
Intensities are scaled so that the largest is 100.

Peak list (8 most intense, 10° ≤ 2θ ≤ 90°, by angle)
- 30.16 deg, I = 68, (-2 1 1)
- 31.46 deg, I = 100, (0 2 1)
- 31.75 deg, I = 80, (1 -1 2)
- 31.94 deg, I = 88, (1 2 -2)
- 33.63 deg, I = 75, (1 -3 1)
- 33.79 deg, I = 75, (1 0 -3)
- 41.16 deg, I = 31, (2 1 0)
- 49.83 deg, I = 26, (0 3 -4)

Atomic structure:
```
11
Lattice="5.9738 0.0000 0.0000 -2.3141 7.9049 0.0000 -2.5728 -3.0366 7.2426" Properties=species:S:1:pos:R:3 pbc="T T T"
Y 0.0000 0.0000 0.0000
Y -0.0354 0.7949 3.3221
Y 1.1223 4.0734 3.9206
Ho -1.8163 5.3011 2.6136
Ho 2.9032 -0.4328 4.6291
Tm -2.0449 2.8395 5.3433
Tm 0.2999 3.3590 0.6292
Tm 0.0181 -1.6932 5.8202
Tm 1.0687 6.5615 1.4225
Tm 0.7870 1.5093 6.6135
Tm 3.1318 2.0288 1.8994
```



Record 2
This entry pairs a crystal structure of La9Ce3Si8S32I4 with its theoretical powder diffractogram. Radiation: Cu Ka. Structure: a structure optimized by DFT (GGA-PBE).
Intensities are scaled so that the largest is 100.

Peak list (8 most intense, 10° ≤ 2θ ≤ 90°, by angle)
- 16.27 deg, I = 100, (0 2 2)
- 20.83 deg, I = 55, (1 3 2)
- 23.82 deg, I = 63, (1 0 3)
- 25.84 deg, I = 61, (2 0 -2)
- 29.16 deg, I = 41, (2 -2 0)
- 32.05 deg, I = 53, (1 2 -3)
- 33.40 deg, I = 39, (1 2 5)
- 33.50 deg, I = 59, (3 3 0)

Atomic structure:
```
56
Lattice="9.0192 0.0000 0.0000 4.2476 12.6922 0.0000 2.2575 5.3718 12.2505" Properties=species:S:1:pos:R:3 pbc="T T T"
La 0.0000 0.0000 0.0000
La 2.9111 7.0209 0.3196
La 6.4773 14.2151 8.0589
La 3.3319 3.5678 3.1818
La 6.6546 6.9740 11.0039
La 7.7487 9.0287 6.1079
La 6.4231 3.3573 6.4453
La 7.7369 5.1817 1.9348
La 11.0890 12.6026 9.3077
Ce 3.5820 7.2036 7.7337
Ce 9.1031 10.8599 1.6247
Ce 12.1424 10.6201 4.8911
Si 3.7738 8.9700 12.1917
Si 4.9487 10.6079 8.0938
Si 8.9060 16.8858 9.5931
Si 5.3144 6.3728 4.5898
Si 9.2817 12.6288 6.0691
Si 6.2190 1.5724 1.9863
Si 10.1695 7.8516 3.4676
Si 13.0853 15.4008 10.7189
S 5.0794 12.1238 9.5798
S 6.0748 14.9021 11.1961
S 2.6593 4.7041 9.0908
S 3.6411 7.4578 10.7038
S 5.6202 11.4865 6.2818
S 4.9958 8.3488 5.3057
S 4.0021 5.0636 5.6588
S 3.5750 4.1341 0.1855
S 6.0341 8.8436 8.5442
S 4.9603 6.1133 2.5155
S 9.2768 17.1300 11.6659
S 8.1936 14.3931 5.6221
S 4.1633 1.0219 1.7515
S 5.9700 5.5076 8.5242
S 9.2154 14.9054 8.8777
S 8.5835 11.7529 7.8732
S 7.3233 5.8826 5.0769
S 6.3431 3.0963 3.4651
S 8.1708 8.3625 2.9621
S 9.1647 11.1111 4.5849
S 6.9003 2.4564 0.1792
S 12.7773 17.3735 11.4462
S 11.7706 14.0958 11.7906
S 11.3418 13.1565 6.3082
S 11.5542 12.5026 2.4404
S 12.7194 15.1472 8.6461
S 10.5309 8.1010 5.5410
S 11.7074 10.7363 11.7488
S 11.9114 10.0580 7.8595
S 11.4886 9.1723 2.4170
S 10.4766 5.8723 2.7522
S 9.8514 2.7181 1.7494
I 5.7221 11.1497 2.5694
I 8.5183 12.0900 11.6092
I 9.2317 7.4956 8.6861
I 9.7738 3.0605 5.4861
```



Record 3
This entry pairs a crystal structure of BaLi2MoCl8 with its theoretical powder diffractogram. Radiation: Cu Ka. Structure: a structure optimized by DFT (GGA-PBE).
Intensities are scaled so that the largest is 100.

Peak list (8 most intense, 10° ≤ 2θ ≤ 90°, by angle)
- 14.36 deg, I = 62, (0 1 0)
- 14.50 deg, I = 61, (1 0 0)
- 18.60 deg, I = 48, (1 1 0)
- 20.41 deg, I = 35, (0 0 2)
- 22.18 deg, I = 28, (1 -1 0)
- 25.08 deg, I = 30, (1 0 2)
- 30.12 deg, I = 33, (1 2 0)
- 30.32 deg, I = 100, (1 -1 2)

Atomic structure:
```
12
Lattice="6.2009 0.0000 0.0000 1.0804 6.1683 0.0000 0.0126 0.0099 8.7038" Properties=species:S:1:pos:R:3 pbc="T T T"
Ba 0.0000 0.0000 0.0000
Li 3.6384 3.0836 1.6899
Li 3.6556 3.0945 7.0139
Mo 0.0063 0.0050 4.3519
Cl 1.5767 1.7120 4.3493
Cl 2.3742 5.0179 6.0900
Cl 2.3711 5.0157 2.6128
Cl 2.2793 2.1018 8.7028
Cl 5.0146 4.0764 0.0010
Cl 4.9229 1.1624 6.0910
Cl 4.9197 1.1602 2.6138
Cl 5.7172 4.4662 4.3545
```